Theoretical X-ray diffraction stick pattern
Compound: ScFe3P3
Radiation: λ = 1.5418 Å (Cu Kα)
Structure: DFT lattice parameters and positions (PBE)

Main lines, sorted by position (10 to 80 degrees two-theta):
2θ = 20.8°, d 4.271, I 26, hkl 1 1 0; 2θ = 29.6°, d 3.020, I 45, hkl 2 0 0; 2θ = 33.2°, d 2.701, I 23, hkl 2 1 0; 2θ = 36.4°, d 2.466, I 100, hkl 2 1 1; 2θ = 52.5°, d 1.744, I 30, hkl 2 2 2; 2θ = 54.8°, d 1.675, I 5, hkl 3 2 0; 2θ = 57.1°, d 1.614, I 49, hkl 3 2 1; 2θ = 61.4°, d 1.510, I 26, hkl 4 0 0; 2θ = 69.6°, d 1.351, I 13, hkl 4 2 0; 2θ = 73.5°, d 1.288, I 11, hkl 3 3 2

Cell and atoms:
Cell: 6.0403 6.0403 6.0403 Å, 90.00 90.00 90.00°
Space group Pm-3n (No. 223)
Unique sites:
1 Sc 0.0000 0.0000 0.0000 [2 per cell]
2 Fe 0.0000 0.2500 0.5000 [6 per cell]
3 P 0.0000 0.5000 0.2500 [6 per cell]